No. 1
Starting from DFT lattice parameters and positions (GGA-PBE), the XRD peak list of PdPt3C2 was calculated for Cu Kα (λ = 1.5418 Å).

Top 10 peaks for 2θ = 5–70°, by intensity:
d [Å], 2θ (°), intensity, (hkl)
2.352, 38.26, 100, 1 1 1
2.379, 37.81, 77, 1 1 -1
2.155, 41.92, 32, 2 0 0
2.302, 39.13, 30, 1 0 2
1.609, 57.26, 30, 0 1 3
2.829, 31.62, 29, 0 1 1
2.766, 32.37, 23, 0 0 2
1.646, 55.85, 16, 0 2 0
1.349, 69.70, 10, 1 2 -2
1.704, 53.80, 10, 2 1 1

Cell and atoms:
Cell: 4.312 3.293 5.533 Å, 90.00 91.42 90.00°
Space group Pm (No. 6)
Asymmetric unit:
Pd1 0.000 0.000 0.000 (multiplicity 1)
Pt1 0.033 0.500 0.497 (multiplicity 1)
Pt2 0.497 0.500 0.851 (multiplicity 1)
Pt3 0.529 0.000 0.343 (multiplicity 1)
C1 0.280 0.000 0.667 (multiplicity 1)
C2 0.749 0.500 0.180 (multiplicity 1)


No. 2
Starting from DFT lattice parameters and positions (GGA-PBE), the XRD peak list of Pd2CSeS was calculated for Cu Kα (λ = 1.5418 Å).

Top 10 peaks for 2θ = 5–70°, by intensity:
d [Å], 2θ (°), intensity, (hkl)
9.383, 9.43, 100, 0 0 1
2.443, 36.79, 76, 1 0 2
2.111, 42.83, 32, 1 0 3
2.862, 31.25, 24, 1 0 0
1.652, 55.62, 20, 1 1 0
1.369, 68.56, 12, 0 2 2
1.569, 58.85, 10, 0 1 5
1.814, 50.29, 8, 0 1 4
2.737, 32.71, 8, 0 1 1
1.877, 48.51, 7, 0 0 5

Cell and atoms:
Cell: 3.3047 3.3047 9.3827 Å, 90.00 90.00 120.00°
Space group P3m1 (No. 156)
Asymmetric unit:
Pd1 0.0000 0.0000 0.0000 (multiplicity 1)
Pd2 0.3333 0.6667 0.2402 (multiplicity 1)
C1 0.6667 0.3333 0.1238 (multiplicity 1)
Se1 0.3333 0.6667 0.8095 (multiplicity 1)
S1 0.0000 0.0000 0.4017 (multiplicity 1)


No. 3
Starting from DFT lattice parameters and positions (GGA-PBE), the XRD peak list of TlPd4C2S was calculated for Cu Kα (λ = 1.5418 Å).

Top 10 peaks for 2θ = 5–70°, by intensity:
d [Å], 2θ (°), intensity, (hkl)
2.368, 37.99, 100, 1 0 3
2.864, 31.23, 34, 1 0 0
12.638, 6.99, 27, 0 0 1
2.609, 34.38, 26, 1 0 2
1.654, 55.58, 26, 1 1 0
1.383, 67.73, 24, 1 0 8
1.356, 69.31, 17, 2 0 3
2.528, 35.52, 11, 0 0 5
1.697, 54.04, 11, 1 0 6
2.106, 42.94, 10, 0 0 6

Cell and atoms:
Cell: 3.3071 3.3071 12.6379 Å, 90.00 90.00 120.00°
Space group P-6m2 (No. 187)
Asymmetric unit:
Tl1 0.0000 0.0000 0.0000 (multiplicity 1)
Pd1 0.0000 0.0000 0.3580 (multiplicity 2)
Pd2 0.6667 0.3333 0.1889 (multiplicity 2)
C1 0.3333 0.6667 0.2708 (multiplicity 2)
S1 0.6667 0.3333 0.5000 (multiplicity 1)


No. 4
Starting from DFT lattice parameters and positions (GGA-PBE), the XRD peak list of TaPdC was calculated for Cu Kα (λ = 1.5418 Å).

Top 6 peaks for 2θ = 5–70°, by intensity:
d [Å], 2θ (°), intensity, (hkl)
3.299, 27.03, 100, 1 1 1
2.020, 44.87, 82, 2 2 0
1.723, 53.16, 47, 3 1 1
1.428, 65.32, 13, 4 0 0
2.857, 31.31, 4, 2 0 0
1.649, 55.73, 1, 2 2 2

Cell and atoms:
Cell: 5.714 5.714 5.714 Å, 90.00 90.00 90.00°
Space group F-43m (No. 216)
Asymmetric unit:
Ta1 0.000 0.000 0.000 (multiplicity 4)
Pd1 0.250 0.250 0.750 (multiplicity 4)
C1 0.250 0.250 0.250 (multiplicity 4)


No. 5
Starting from DFT lattice parameters and positions (GGA-PBE), the XRD peak list of Pm2C3 was calculated for Cu Kα (λ = 1.5418 Å).

Top 10 peaks for 2θ = 5–70°, by intensity:
d [Å], 2θ (°), intensity, (hkl)
2.692, 33.28, 100, 3 1 0
3.010, 29.68, 95, 2 2 0
1.670, 55.00, 66, 4 3 1
2.275, 39.61, 52, 3 2 1
3.476, 25.63, 47, 2 1 1
1.554, 59.47, 28, 5 2 1
1.815, 50.27, 28, 3 3 2
1.738, 52.67, 16, 4 2 2
1.381, 67.86, 12, 6 1 1
2.128, 42.47, 6, 4 0 0

Cell and atoms:
Cell: 8.514 8.514 8.514 Å, 90.00 90.00 90.00°
Space group I-43d (No. 220)
Asymmetric unit:
Pm1 0.051 0.051 0.051 (multiplicity 16)
C1 0.000 0.250 0.297 (multiplicity 24)


No. 6
Starting from DFT lattice parameters and positions (GGA-PBE), the XRD peak list of PrReC2 was calculated for Cu Kα (λ = 1.5418 Å).

Top 10 peaks for 2θ = 5–70°, by intensity:
d [Å], 2θ (°), intensity, (hkl)
2.951, 30.29, 100, 1 1 -2
2.588, 34.66, 89, 1 1 2
2.754, 32.51, 60, 2 0 0
1.954, 46.47, 48, 2 2 -1
2.609, 34.38, 40, 0 2 1
2.770, 32.32, 30, 0 2 0
1.938, 46.87, 18, 0 0 4
1.491, 62.29, 17, 1 3 -3
1.495, 62.09, 17, 3 1 2
3.319, 26.86, 16, 1 1 1

Cell and atoms:
Cell: 5.604 5.540 7.888 Å, 90.00 100.61 90.00°
Space group Cc (No. 9)
Asymmetric unit:
Pr1 0.000 0.068 0.000 (multiplicity 4)
Re1 0.453 0.064 0.795 (multiplicity 4)
C1 0.035 0.421 0.555 (multiplicity 4)
C2 0.179 0.309 0.709 (multiplicity 4)